HoMgSe3: computed powder diffractogram (Cu Ka), based on a cell relaxed with GGA-PBE.
Kinematic intensities with the Lorentz-polarization factor, no thermal factor.

Cell: 7.558 7.558 7.558 Å, 54.24 54.24 54.24°
Fractional coordinates of all 10 atoms:
Ho 0.155 0.155 0.155
Ho 0.845 0.845 0.845
Mg 0.340 0.340 0.340
Mg 0.660 0.660 0.660
Se 0.072 0.442 0.733
Se 0.267 0.928 0.558
Se 0.442 0.733 0.072
Se 0.558 0.267 0.928
Se 0.733 0.072 0.442
Se 0.928 0.558 0.267

Peak list (8 most intense, 10° ≤ 2θ ≤ 90°, low angle first)
two_theta  intensity
13.8  26.5
17.5  22.7
23.7  20.3
29.4  100.0
38.3  69.1
45.6  42.5
50.1  19.0
61.0  16.6